[1]
Diffraction record for Na3Er3PaSe8. The XRD peak list is theoretical, not measured: it uses a cell relaxed with GGA-PBE and CuKα.
Kinematic intensities with the Lorentz-polarization factor, no thermal factor.

Main lines, by intensity (5° ≤ 2θ ≤ 70°):
30.20 deg, d = 2.959 Å, rel. 100, (0 2 4); 12.57 deg, d = 7.043 Å, rel. 70, (0 0 3); 42.57 deg, d = 2.124 Å, rel. 37, (2 0 8); 43.90 deg, d = 2.063 Å, rel. 36, (2 2 0); 25.28 deg, d = 3.522 Å, rel. 30, (0 2 1); 54.21 deg, d = 1.692 Å, rel. 29, (4 0 4); 39.07 deg, d = 2.306 Å, rel. 19, (0 2 7); 45.84 deg, d = 1.979 Å, rel. 18, (2 2 3); 62.80 deg, d = 1.480 Å, rel. 12, (0 4 8); 32.83 deg, d = 2.728 Å, rel. 9, (2 0 5); 51.93 deg, d = 1.761 Å, rel. 7, (0 0 12); 60.20 deg, d = 1.537 Å, rel. 5, (4 0 7)

Structure:
a = 8.2502 Å, b = 8.2502 Å, c = 21.1281 Å
α = 90.00°, β = 90.00°, γ = 120.00°
Space group R-3m (No. 166, hexagonal axes)
Inequivalent atoms, fractional coordinates:
1 Na 0.0000 0.5000 0.0000 (multiplicity 9)
2 Er 0.0000 0.5000 0.5000 (multiplicity 9)
3 Pa 0.0000 0.0000 0.5000 (multiplicity 3)
4 Se 0.0000 0.0000 0.2423 (multiplicity 6)
5 Se 0.0018 0.5009 0.7582 (multiplicity 18)

=====

[2]
Diffraction record for NaEr3Pb12. The XRD peak list is theoretical, not measured: it uses a cell relaxed with GGA-PBE and CuKα.
Kinematic intensities with the Lorentz-polarization factor, no thermal factor.

Main lines, by intensity (5° ≤ 2θ ≤ 70°):
31.78 deg, d = 2.816 Å, rel. 100, (1 1 4); 37.10 deg, d = 2.423 Å, rel. 33, (2 0 0); 63.56 deg, d = 1.464 Å, rel. 28, (3 1 4); 52.94 deg, d = 1.730 Å, rel. 24, (2 0 8); 36.39 deg, d = 2.469 Å, rel. 17, (0 0 8); 62.60 deg, d = 1.484 Å, rel. 15, (1 1 12); 66.41 deg, d = 1.408 Å, rel. 12, (2 2 8); 53.47 deg, d = 1.714 Å, rel. 12, (2 2 0); 18.30 deg, d = 4.847 Å, rel. 2, (1 0 0); 25.75 deg, d = 3.459 Å, rel. 2, (1 0 4); 8.95 deg, d = 9.877 Å, rel. 1, (0 0 2); 17.96 deg, d = 4.938 Å, rel. 1, (0 0 4)

Structure:
a = 4.847 Å, b = 4.847 Å, c = 19.753 Å
α = 90.00°, β = 90.00°, γ = 90.00°
Space group P4/mmm (No. 123)
Inequivalent atoms, fractional coordinates:
1 Na 0.000 0.000 0.000 (multiplicity 1)
2 Er 0.000 0.000 0.255 (multiplicity 2)
3 Er 0.000 0.000 0.500 (multiplicity 1)
4 Pb 0.000 0.500 0.126 (multiplicity 4)
5 Pb 0.000 0.500 0.376 (multiplicity 4)
6 Pb 0.500 0.500 0.000 (multiplicity 1)
7 Pb 0.500 0.500 0.250 (multiplicity 2)
8 Pb 0.500 0.500 0.500 (multiplicity 1)

=====

[3]
Diffraction record for NaSmErPb. The XRD peak list is theoretical, not measured: it uses a cell relaxed with GGA-PBE and CuKα.
Kinematic intensities with the Lorentz-polarization factor, no thermal factor.

Main lines, by intensity (5° ≤ 2θ ≤ 70°):
32.97 deg, d = 2.717 Å, rel. 100, (2 2 0); 58.88 deg, d = 1.568 Å, rel. 38, (4 2 2); 20.01 deg, d = 4.436 Å, rel. 24, (1 1 1); 47.32 deg, d = 1.921 Å, rel. 18, (4 0 0); 38.87 deg, d = 2.317 Å, rel. 14, (3 1 1); 69.16 deg, d = 1.358 Å, rel. 12, (4 4 0); 51.87 deg, d = 1.763 Å, rel. 6, (3 3 1); 62.84 deg, d = 1.479 Å, rel. 5, (5 1 1); 23.15 deg, d = 3.842 Å, rel. 3, (2 0 0); 53.32 deg, d = 1.718 Å, rel. 1, (4 2 0); 40.67 deg, d = 2.218 Å, rel. 1, (2 2 2)

Structure:
a = 7.684 Å, b = 7.684 Å, c = 7.684 Å
α = 90.00°, β = 90.00°, γ = 90.00°
Space group F-43m (No. 216)
Inequivalent atoms, fractional coordinates:
1 Na 0.000 0.000 0.000 (multiplicity 4)
2 Sm 0.250 0.250 0.250 (multiplicity 4)
3 Er 0.250 0.250 0.750 (multiplicity 4)
4 Pb 0.000 0.000 0.500 (multiplicity 4)